[1]
Computed powder diffraction line list of Tb8Y4Er3 for Cu Ka, from a crystal structure in Alexandria, relaxed with GGA-PBE.
No peak broadening, texture or thermal motion is included.

Atomic structure:
Unit cell a=13.377 b=12.751 c=6.764 alpha=90.00 beta=120.32 gamma=90.00
Space group C2/m (No. 12)
Asymmetric unit:
Tb (0.000, 0.142, 0.000) x4
Tb (0.000, 0.246, 0.500) x4
Tb (0.228, 0.000, 0.463) x4
Tb (0.231, 0.000, 0.990) x4
Y (0.000, 0.500, 0.000) x2
Y (0.000, 0.500, 0.500) x2
Y (0.250, 0.250, 0.500) x4
Er (0.000, 0.000, 0.500) x2
Er (0.250, 0.250, 0.000) x4

Peak list (10 most intense, 5° ≤ 2θ ≤ 70°, by angle)
| index | d (Å) | 2theta | intensity |
| --- | --- | --- | --- |
| 1 1 0 | 8.559 | 10.34 | 19 |
| 0 4 0 | 3.188 | 27.99 | 33 |
| 4 0 -2 | 2.918 | 30.64 | 100 |
| 4 0 0 | 2.887 | 30.98 | 46 |
| 2 4 -1 | 2.795 | 32.02 | 36 |
| 2 4 1 | 2.308 | 39.03 | 15 |
| 4 4 -2 | 2.152 | 41.98 | 43 |
| 4 4 0 | 2.140 | 42.23 | 20 |
| 8 0 -2 | 1.673 | 54.89 | 17 |
| 4 8 -2 | 1.399 | 66.89 | 19 |

[2]
Computed powder diffraction line list of Tb2Y4Er7 for Cu Ka, from a crystal structure in Alexandria, relaxed with GGA-PBE.
No peak broadening, texture or thermal motion is included.

Atomic structure:
Unit cell a=6.0333 b=6.0333 c=13.2360 alpha=90.00 beta=90.00 gamma=120.00
Space group P-31m (No. 162)
Asymmetric unit:
Tb (0.3333, 0.6667, 0.0000) x2
Y (0.0000, 0.0000, 0.3938) x2
Y (0.3333, 0.6667, 0.5000) x2
Er (0.0000, 0.0000, 0.0000) x1
Er (0.0000, 0.3537, 0.2140) x6

Peak list (10 most intense, 5° ≤ 2θ ≤ 70°, by angle)
| index | d (Å) | 2theta | intensity |
| --- | --- | --- | --- |
| 0 0 1 | 13.236 | 6.68 | 55 |
| 0 0 4 | 3.309 | 26.94 | 23 |
| 2 -1 1 | 2.941 | 30.39 | 57 |
| 2 -1 2 | 2.745 | 32.62 | 100 |
| 0 0 5 | 2.647 | 33.86 | 20 |
| 1 1 3 | 2.490 | 36.07 | 47 |
| 1 1 4 | 2.229 | 40.46 | 19 |
| 2 -1 6 | 1.781 | 51.31 | 22 |
| 3 0 0 | 1.742 | 52.54 | 29 |
| 3 0 5 | 1.455 | 63.99 | 18 |

[3]
Computed powder diffraction line list of TbY2Er3 for Cu Ka, from a crystal structure in Alexandria, relaxed with GGA-PBE.
No peak broadening, texture or thermal motion is included.

Atomic structure:
Unit cell a=14.762 b=9.975 c=5.560 alpha=90.00 beta=90.00 gamma=90.00
Space group Cmc2_1 (No. 36)
Asymmetric unit:
Tb (0.000, 0.234, 0.000) x4
Y (0.110, 0.100, 0.501) x8
Er (0.000, 0.411, 0.499) x4
Er (0.239, 0.372, 0.502) x8

Peak list (10 most intense, 5° ≤ 2θ ≤ 70°, by angle)
| index | d (Å) | 2theta | intensity |
| --- | --- | --- | --- |
| 0 2 1 | 3.713 | 23.97 | 32 |
| 4 0 0 | 3.691 | 24.11 | 31 |
| 5 1 0 | 2.831 | 31.60 | 17 |
| 1 3 1 | 2.802 | 31.94 | 60 |
| 0 0 2 | 2.780 | 32.20 | 47 |
| 4 2 1 | 2.617 | 34.26 | 100 |
| 4 0 2 | 2.220 | 40.63 | 16 |
| 4 2 3 | 1.572 | 58.74 | 21 |
| 8 0 2 | 1.538 | 60.17 | 17 |
| 9 3 1 | 1.422 | 65.68 | 21 |

[4]
Computed powder diffraction line list of Tb4Y4Er3 for Cu Ka, from a crystal structure in Alexandria, relaxed with GGA-PBE.
No peak broadening, texture or thermal motion is included.

Atomic structure:
Unit cell a=3.516 b=5.589 c=18.039 alpha=81.10 beta=84.42 gamma=90.00
Space group P-1 (No. 2)
Asymmetric unit:
Tb (0.045, 0.045, 0.409) x2
Tb (0.179, 0.679, 0.140) x2
Y (0.090, 0.589, 0.320) x2
Y (0.233, 0.233, 0.035) x2
Er (0.364, 0.864, 0.773) x2
Er (0.500, 0.500, 0.500) x1

Peak list (10 most intense, 5° ≤ 2θ ≤ 70°, by angle)
| index | d (Å) | 2theta | intensity |
| --- | --- | --- | --- |
| 1 1 2 | 2.935 | 30.46 | 12 |
| 1 0 4 | 2.889 | 30.96 | 26 |
| 1 1 -1 | 2.821 | 31.71 | 57 |
| 0 2 1 | 2.794 | 32.04 | 100 |
| 1 2 5 | 2.008 | 45.14 | 18 |
| 1 3 0 | 1.618 | 56.89 | 11 |
| 0 3 7 | 1.613 | 57.11 | 19 |
| 1 2 -6 | 1.606 | 57.38 | 12 |
| 2 2 2 | 1.488 | 62.42 | 29 |
| 0 4 2 | 1.397 | 67.00 | 11 |

[5]
Computed powder diffraction line list of Tb4Y5Er for Cu Ka, from a crystal structure in Alexandria, relaxed with GGA-PBE.
No peak broadening, texture or thermal motion is included.

Atomic structure:
Unit cell a=10.264 b=10.264 c=6.247 alpha=90.00 beta=90.00 gamma=90.00
Space group I4 (No. 79)
Asymmetric unit:
Tb (0.047, 0.349, 0.000) x8
Y (0.000, 0.000, 0.771) x2
Y (0.149, 0.232, 0.498) x8
Er (0.000, 0.000, 0.233) x2

Peak list (10 most intense, 5° ≤ 2θ ≤ 70°, by angle)
| index | d (Å) | 2theta | intensity |
| --- | --- | --- | --- |
| 1 3 0 | 3.246 | 27.48 | 58 |
| 0 0 2 | 3.123 | 28.58 | 26 |
| 3 0 1 | 3.001 | 29.77 | 100 |
| 1 1 2 | 2.869 | 31.18 | 50 |
| 3 2 1 | 2.590 | 34.63 | 49 |
| 3 3 0 | 2.419 | 37.16 | 27 |
| 4 1 1 | 2.313 | 38.95 | 30 |
| 3 1 2 | 2.251 | 40.06 | 23 |
| 2 4 2 | 1.849 | 49.27 | 23 |
| 1 6 1 | 1.629 | 56.49 | 18 |

[6]
Computed powder diffraction line list of Tb5Y5Er for Cu Ka, from a crystal structure in Alexandria, relaxed with GGA-PBE.
No peak broadening, texture or thermal motion is included.

Atomic structure:
Unit cell a=6.841 b=6.864 c=8.649 alpha=74.66 beta=75.16 gamma=69.99
Space group P-1 (No. 2)
Asymmetric unit:
Tb (0.000, 0.000, 0.000) x1
Tb (0.272, 0.348, 0.730) x2
Tb (0.354, 0.853, 0.636) x2
Y (0.149, 0.223, 0.273) x2
Y (0.187, 0.679, 0.366) x2
Y (0.500, 0.500, 0.000) x1
Er (0.500, 0.000, 0.000) x1

Peak list (10 most intense, 5° ≤ 2θ ≤ 70°, by angle)
| index | d (Å) | 2theta | intensity |
| --- | --- | --- | --- |
| 1 1 -2 | 2.842 | 31.48 | 15 |
| 1 1 3 | 2.824 | 31.69 | 12 |
| 2 2 1 | 2.807 | 31.88 | 41 |
| 0 2 -1 | 2.779 | 32.21 | 100 |
| 2 0 2 | 2.757 | 32.47 | 44 |
| 0 0 3 | 2.733 | 32.76 | 22 |
| 2 -1 0 | 2.544 | 35.28 | 12 |
| 2 -2 0 | 1.965 | 46.20 | 18 |
| 2 4 3 | 1.613 | 57.08 | 13 |
| 4 2 3 | 1.607 | 57.32 | 12 |

[7]
Computed powder diffraction line list of Tb2Y3Er9 for Cu Ka, from a crystal structure in Alexandria, relaxed with GGA-PBE.
No peak broadening, texture or thermal motion is included.

Atomic structure:
Unit cell a=6.188 b=8.630 c=8.699 alpha=79.96 beta=77.34 gamma=87.87
Space group P-1 (No. 2)
Asymmetric unit:
Tb (0.049, 0.032, 0.300) x2
Y (0.252, 0.623, 0.728) x2
Y (0.500, 0.000, 0.000) x1
Er (0.006, 0.754, 0.085) x2
Er (0.156, 0.333, 0.505) x2
Er (0.305, 0.387, 0.102) x2
Er (0.409, 0.687, 0.303) x2
Er (0.500, 0.000, 0.500) x1

Peak list (10 most intense, 5° ≤ 2θ ≤ 70°, by angle)
| index | d (Å) | 2theta | intensity |
| --- | --- | --- | --- |
| 2 -1 0 | 2.845 | 31.44 | 24 |
| 1 1 -2 | 2.829 | 31.62 | 100 |
| 2 -1 1 | 2.823 | 31.69 | 25 |
| 1 1 3 | 2.774 | 32.27 | 46 |
| -1 2 2 | 2.693 | 33.27 | 30 |
| 1 -2 2 | 2.654 | 33.78 | 23 |
| 2 2 1 | 2.558 | 35.09 | 34 |
| 2 -4 0 | 1.738 | 52.66 | 14 |
| 4 1 2 | 1.522 | 60.86 | 10 |
| 4 -2 1 | 1.438 | 64.86 | 11 |

[8]
Computed powder diffraction line list of Tb12YEr5 for Cu Ka, from a crystal structure in Alexandria, relaxed with GGA-PBE.
No peak broadening, texture or thermal motion is included.

Atomic structure:
Unit cell a=10.631 b=5.015 c=10.644 alpha=90.00 beta=90.11 gamma=90.00
Space group P2/m (No. 10)
Asymmetric unit:
Tb (0.001, 0.000, 0.166) x2
Tb (0.167, 0.500, 0.001) x2
Tb (0.167, 0.500, 0.667) x2
Tb (0.334, 0.000, 0.499) x2
Tb (0.334, 0.000, 0.834) x2
Tb (0.499, 0.500, 0.333) x2
Y (0.000, 0.000, 0.500) x1
Er (0.167, 0.500, 0.333) x2
Er (0.333, 0.000, 0.167) x2
Er (0.500, 0.500, 0.000) x1

Peak list (7 most intense, 5° ≤ 2θ ≤ 70°, by angle)
| index | d (Å) | 2theta | intensity |
| --- | --- | --- | --- |
| 0 0 1 | 10.638 | 8.31 | 1 |
| 3 1 0 | 2.895 | 30.88 | 100 |
| 3 0 3 | 2.507 | 35.81 | 51 |
| 6 0 0 | 1.773 | 51.55 | 36 |
| 3 3 0 | 1.512 | 61.29 | 36 |
| 6 1 3 | 1.510 | 61.38 | 7 |
| 6 2 0 | 1.448 | 64.35 | 12 |

Question: Number 1 is which compound?
Answer: Tb8Y4Er3